No. 1
Starting from a crystal structure in Alexandria, relaxed with PBE, the XRD peak list of Y6C3S was calculated for copper Kα.

The 10 most intense peaks (2θ = 15–90°), in order of rising 2θ:
h k l  2θ/deg  I/Imax
1 1 1  28.57  26
2 0 2  29.07  89
2 0 -4  29.24  81
2 1 -1  30.18  65
2 1 -2  31.19  51
0 1 3  34.06  100
4 0 -2  35.05  75
3 1 -2  36.34  26
0 2 0  50.27  31
2 2 2  59.12  34

Atomic structure:
```
data_Y6C3S
_chemical_formula_sum 'Y12 C6 S2'
_cell_length_a 10.2414
_cell_length_b 3.6300
_cell_length_c 12.5319
_cell_angle_alpha 90.00
_cell_angle_beta 113.77
_cell_angle_gamma 90.00
_space_group_name_H-M_alt 'P 1 21/m 1'
_space_group_IT_number 11
_space_group_name_Hall '-P 2yb'
loop_
_atom_site_label
_atom_site_type_symbol
_atom_site_fract_x
_atom_site_fract_y
_atom_site_fract_z
Y1 Y 0.0153 0.2500 0.2534
Y2 Y 0.1445 0.7500 0.5773
Y3 Y 0.1826 0.7500 0.0968
Y4 Y 0.3310 0.7500 0.3938
Y5 Y 0.3461 0.2500 0.9314
Y6 Y 0.4834 0.2500 0.2277
C1 C 0.0050 0.2500 0.6242
C2 C 0.2527 0.2500 0.2480
C3 C 0.4152 0.7500 0.0786
S1 S 0.3798 0.2500 0.5825
```

No. 2
Starting from a crystal structure in Alexandria, relaxed with PBE, the XRD peak list of Cs2KSbSe4 was calculated for copper Kα.

The 10 most intense peaks (2θ = 15–90°), in order of rising 2θ:
h k l  2θ/deg  I/Imax
1 1 3  16.61  42
0 2 6  23.00  39
1 3 3  23.85  100
0 0 8  26.17  22
2 2 0  27.02  37
1 3 5  27.25  48
2 0 6  31.24  36
1 3 7  31.73  30
2 0 10  41.19  27
2 6 0  44.26  22

Atomic structure:
```
data_Cs2KSbSe4
_chemical_formula_sum 'Cs16 K8 Sb8 Se32'
_cell_length_a 7.3773
_cell_length_b 14.7580
_cell_length_c 27.2443
_cell_angle_alpha 90.00
_cell_angle_beta 90.00
_cell_angle_gamma 90.00
_space_group_name_H-M_alt 'F d d d'
_space_group_IT_number 70
loop_
_space_group_symop_operation_xyz
'x,y,z'
'-x,-y,-z'
'-x+1/4,-y+1/4,z'
'x+1/4,y+1/4,-z'
'x,-y+1/4,-z+1/4'
'-x,y+1/4,z+1/4'
'-x+1/4,y,-z+1/4'
'x+1/4,-y,z+1/4'
'x,y+1/2,z+1/2'
'-x,-y+1/2,-z+1/2'
'-x+1/4,-y+3/4,z+1/2'
'x+1/4,y+3/4,-z+1/2'
'x,-y+3/4,-z+3/4'
'-x,y+3/4,z+3/4'
'-x+1/4,y+1/2,-z+3/4'
'x+1/4,-y+1/2,z+3/4'
'x+1/2,y,z+1/2'
'-x+1/2,-y,-z+1/2'
'-x+3/4,-y+1/4,z+1/2'
'x+3/4,y+1/4,-z+1/2'
'x+1/2,-y+1/4,-z+3/4'
'-x+1/2,y+1/4,z+3/4'
'-x+3/4,y,-z+3/4'
'x+3/4,-y,z+3/4'
'x+1/2,y+1/2,z'
'-x+1/2,-y+1/2,-z'
'-x+3/4,-y+3/4,z'
'x+3/4,y+3/4,-z'
'x+1/2,-y+3/4,-z+1/4'
'-x+1/2,y+3/4,z+1/4'
'-x+3/4,y+1/2,-z+1/4'
'x+3/4,-y+1/2,z+1/4'
loop_
_atom_site_label
_atom_site_type_symbol
_atom_site_fract_x
_atom_site_fract_y
_atom_site_fract_z
Cs1 Cs 0.1250 0.1250 0.3128
K1 K 0.1250 0.1250 0.1250
Sb1 Sb 0.1250 0.1250 0.6250
Se1 Se 0.0590 0.2699 0.8215
```